[1]
Diffraction record for Tb4MgCd3. The powder XRD pattern is theoretical, not measured: it uses DFT lattice parameters and positions (PBE) and CuKα.
Intensities are scaled so that the largest is 100.

Structural model:
a b c (Å): 3.497 4.969 12.393
angles (deg): 90.00 90.00 90.00
Atoms (fractional coordinates):
Tb 0.000 0.000 0.000
Tb 0.000 0.500 0.326
Tb 0.500 0.000 0.496
Tb 0.500 0.500 0.831
Mg 0.000 0.000 0.729
Cd 0.000 0.500 0.594
Cd 0.500 0.000 0.233
Cd 0.500 0.500 0.094

Main lines, low angle first (2θ = 5–70°):
d_spacing, intensity
3.876, 18
2.787, 100
2.669, 48
2.629, 70
2.484, 37
2.351, 18
1.818, 31
1.456, 22

=====

[2]
Diffraction record for Tb5Mg5Cd2. The powder XRD pattern is theoretical, not measured: it uses DFT lattice parameters and positions (PBE) and CuKα.
Intensities are scaled so that the largest is 100.

Structural model:
a b c (Å): 5.260 5.260 14.209
angles (deg): 100.63 100.63 59.94
Atoms (fractional coordinates):
Tb 0.000 0.000 0.000
Tb 0.144 0.144 0.432
Tb 0.395 0.395 0.186
Tb 0.605 0.605 0.814
Tb 0.856 0.856 0.568
Mg 0.226 0.226 0.680
Mg 0.307 0.307 0.922
Mg 0.500 0.500 0.500
Mg 0.693 0.693 0.078
Mg 0.774 0.774 0.320
Cd 0.073 0.073 0.217
Cd 0.927 0.927 0.783

Main lines, low angle first (2θ = 5–70°):
d_spacing, intensity
4.527, 23
4.449, 17
4.172, 35
2.629, 100
2.620, 57
1.909, 29
1.856, 20
1.518, 25

=====

[3]
Diffraction record for Tb3Mg2Cd7. The powder XRD pattern is theoretical, not measured: it uses DFT lattice parameters and positions (PBE) and CuKα.
Intensities are scaled so that the largest is 100.

Structural model:
a b c (Å): 4.915 3.874 15.945
angles (deg): 90.00 98.50 90.00
Atoms (fractional coordinates):
Tb 0.000 0.000 0.000
Tb 0.312 0.500 0.629
Tb 0.688 0.500 0.371
Mg 0.145 0.000 0.282
Mg 0.855 0.000 0.718
Cd 0.080 0.500 0.151
Cd 0.229 0.000 0.456
Cd 0.408 0.000 0.826
Cd 0.500 0.500 0.000
Cd 0.592 0.000 0.174
Cd 0.771 0.000 0.544
Cd 0.920 0.500 0.849

Main lines, low angle first (2θ = 5–70°):
d_spacing, intensity
7.885, 19
2.763, 32
2.744, 100
2.736, 96
2.628, 19
2.457, 56
1.937, 27
1.521, 24